Starting from DFT lattice parameters and positions (GGA-PBE), the X-ray diffraction stick pattern of Fe3B was simulated for Cu Kα, 1.54184 Å.
Peak positions follow from Bragg's law for the DFT cell and can differ from measured ones.

Most intense lines, 2θ from 10° to 90°, low angle first:
2θ/deg  I (rel.)
29.6  21
39.5  46
43.7  100
45.0  75
47.7  56
48.9  62
52.5  18
54.8  38
79.4  25
82.2  17

Structural model:
abc: 8.532 8.532 4.272
angles: 90.00 90.00 90.00
Element x y z (fractional)
1 Fe 0.032 0.921 0.234
2 Fe 0.079 0.532 0.734
3 Fe 0.113 0.287 0.022
4 Fe 0.141 0.834 0.723
5 Fe 0.166 0.641 0.223
6 Fe 0.213 0.113 0.478
7 Fe 0.287 0.387 0.478
8 Fe 0.334 0.859 0.223
9 Fe 0.359 0.666 0.723
10 Fe 0.387 0.213 0.022
11 Fe 0.421 0.968 0.734
12 Fe 0.468 0.579 0.234
13 Fe 0.532 0.421 0.766
14 Fe 0.579 0.032 0.266
15 Fe 0.613 0.787 0.978
16 Fe 0.641 0.334 0.277
17 Fe 0.666 0.141 0.777
18 Fe 0.713 0.613 0.522
19 Fe 0.787 0.887 0.522
20 Fe 0.834 0.359 0.777
21 Fe 0.859 0.166 0.277
22 Fe 0.887 0.713 0.978
23 Fe 0.921 0.468 0.266
24 Fe 0.968 0.079 0.766
25 B 0.044 0.297 0.524
26 B 0.203 0.044 0.976
27 B 0.297 0.456 0.976
28 B 0.456 0.203 0.524
29 B 0.544 0.797 0.476
30 B 0.703 0.544 0.024
31 B 0.797 0.956 0.024
32 B 0.956 0.703 0.476


Starting from DFT lattice parameters and positions (GGA-PBE), the X-ray diffraction stick pattern of Co2W11 was simulated for Cu Kα, 1.54184 Å.
Peak positions follow from Bragg's law for the DFT cell and can differ from measured ones.

Most intense lines, 2θ from 10° to 90°, low angle first:
2θ/deg  I (rel.)
34.8  36
38.3  33
39.1  30
40.0  100
40.5  50
41.2  67
43.7  77
46.7  46
66.7  33
73.4  42

Structural model:
abc: 9.692 9.692 9.692
angles: 30.88 30.88 30.88
Element x y z (fractional)
1 Co 0.155 0.155 0.155
2 Co 0.845 0.845 0.845
3 W 0.045 0.045 0.045
4 W 0.086 0.592 0.592
5 W 0.332 0.332 0.332
6 W 0.408 0.408 0.914
7 W 0.408 0.914 0.408
8 W 0.500 0.500 0.500
9 W 0.592 0.086 0.592
10 W 0.592 0.592 0.086
11 W 0.668 0.668 0.668
12 W 0.914 0.408 0.408
13 W 0.955 0.955 0.955


Starting from DFT lattice parameters and positions (GGA-PBE), the X-ray diffraction stick pattern of Y8Au2C3N3 was simulated for Cu Kα, 1.54184 Å.
Peak positions follow from Bragg's law for the DFT cell and can differ from measured ones.

Most intense lines, 2θ from 10° to 90°, low angle first:
2θ/deg  I (rel.)
29.2  57
32.2  42
33.8  100
34.6  29
35.8  85
48.6  21
51.3  47
62.9  16
63.4  30
64.2  15

Structural model:
abc: 3.559 3.559 25.932
angles: 90.00 90.00 120.00
Element x y z (fractional)
1 Y 0.000 0.000 0.158
2 Y 0.000 0.000 0.334
3 Y 0.000 0.000 0.666
4 Y 0.000 0.000 0.842
5 Y 0.333 0.667 0.556
6 Y 0.333 0.667 0.948
7 Y 0.667 0.333 0.052
8 Y 0.667 0.333 0.444
9 Au 0.333 0.667 0.757
10 Au 0.667 0.333 0.243
11 C 0.000 0.000 0.500
12 C 0.333 0.667 0.380
13 C 0.667 0.333 0.620
14 N 0.000 0.000 0.000
15 N 0.333 0.667 0.111
16 N 0.667 0.333 0.889


Starting from DFT lattice parameters and positions (GGA-PBE), the X-ray diffraction stick pattern of GaAgF4 was simulated for Cu Kα, 1.54184 Å.
Peak positions follow from Bragg's law for the DFT cell and can differ from measured ones.

Most intense lines, 2θ from 10° to 90°, low angle first:
2θ/deg  I (rel.)
25.3  45
28.2  45
29.2  100
31.4  74
31.9  37
32.4  39
39.0  35
39.4  27
42.7  72
54.5  37

Structural model:
abc: 7.251 5.702 7.034
angles: 90.00 90.00 90.00
Element x y z (fractional)
1 Ga 0.079 0.250 0.218
2 Ga 0.421 0.750 0.718
3 Ga 0.579 0.250 0.282
4 Ga 0.921 0.750 0.782
5 Ag 0.159 0.250 0.655
6 Ag 0.341 0.750 0.155
7 Ag 0.659 0.250 0.845
8 Ag 0.841 0.750 0.345
9 F 0.007 0.750 0.021
10 F 0.128 0.516 0.350
11 F 0.128 0.984 0.350
12 F 0.161 0.750 0.661
13 F 0.339 0.250 0.161
14 F 0.372 0.016 0.850
15 F 0.372 0.484 0.850
16 F 0.493 0.250 0.521
17 F 0.507 0.750 0.479
18 F 0.628 0.516 0.150
19 F 0.628 0.984 0.150
20 F 0.661 0.750 0.839
21 F 0.839 0.250 0.339
22 F 0.872 0.016 0.650
23 F 0.872 0.484 0.650
24 F 0.993 0.250 0.979


Starting from DFT lattice parameters and positions (GGA-PBE), the X-ray diffraction stick pattern of FeSbSe was simulated for Cu Kα, 1.54184 Å.
Peak positions follow from Bragg's law for the DFT cell and can differ from measured ones.

Most intense lines, 2θ from 10° to 90°, low angle first:
2θ/deg  I (rel.)
30.9  33
32.1  47
33.5  100
35.0  52
35.1  44
42.6  17
44.3  21
46.5  42
51.9  54
53.2  23

Structural model:
abc: 5.374 3.442 6.181
angles: 90.00 95.66 90.00
Element x y z (fractional)
1 Fe 0.000 0.000 0.000
2 Fe 0.500 0.500 0.500
3 Sb 0.209 0.000 0.653
4 Sb 0.791 0.000 0.347
5 Se 0.268 0.500 0.150
6 Se 0.732 0.500 0.850